Structure and calculated powder XRD pattern of LiCrP2O7 (a DFT-relaxed cell (PBE+U, Alexandria); copper Kα).
Intensities are scaled so that the largest is 100.

Peak list (10 most intense, 2θ from 10° to 80°, by intensity)
| d_spacing | 2θ/deg | I (rel.) |
| --- | --- | --- |
| 5.155 | 17.2 | 100 |
| 3.033 | 29.4 | 57 |
| 3.957 | 22.5 | 46 |
| 3.080 | 29.0 | 30 |
| 2.998 | 29.8 | 28 |
| 3.327 | 26.8 | 24 |
| 4.021 | 22.1 | 22 |
| 3.482 | 25.6 | 17 |
| 2.578 | 34.8 | 16 |
| 2.082 | 43.5 | 13 |

Crystal structure
a b c (Å): 4.868 8.181 6.999
angles (deg): 90.00 108.48 90.00
Sites, in units of the cell vectors:
Li  0.180  0.000  0.175
Li  0.820  0.500  0.825
Cr  0.215  0.363  0.229
Cr  0.785  0.863  0.771
P  0.215  0.079  0.586
P  0.398  0.682  0.023
P  0.602  0.182  0.977
P  0.785  0.579  0.414
O  0.051  0.539  0.354
O  0.135  0.169  0.384
O  0.183  0.824  0.981
O  0.248  0.515  0.010
O  0.402  0.183  0.108
O  0.402  0.929  0.583
O  0.407  0.212  0.747
O  0.593  0.712  0.253
O  0.598  0.429  0.417
O  0.598  0.683  0.892
O  0.752  0.015  0.990
O  0.817  0.324  0.019
O  0.865  0.669  0.616
O  0.949  0.039  0.646